No. 1
Structure and calculated XRD peak list of U2Co9Os (a crystal structure in Alexandria, relaxed with GGA-PBE; copper Kα).
Lines closer than 0.1° are merged.

The 8 most intense peaks (10 to 90 degrees two-theta), by angle:
two_theta, intensity
24.00, 311
24.27, 153
34.40, 257
42.38, 1000
49.15, 326
49.72, 150
72.51, 191
87.32, 248

Cell lengths 3.7072, 3.7072, 11.0033 Å; angles 90.00, 90.00, 90.00 degrees
Sites, in units of the cell vectors:
U: 0.0000 0.0000 0.1715
U: 0.0000 0.0000 0.8285
Co: 0.0000 0.5000 0.0000
Co: 0.0000 0.5000 0.3441
Co: 0.0000 0.5000 0.6559
Co: 0.5000 0.0000 0.0000
Co: 0.5000 0.0000 0.3441
Co: 0.5000 0.0000 0.6559
Co: 0.5000 0.5000 0.1721
Co: 0.5000 0.5000 0.5000
Co: 0.5000 0.5000 0.8279
Os: 0.0000 0.0000 0.5000

No. 2
Structure and calculated XRD peak list of SrZnCuGe2 (a crystal structure in Alexandria, relaxed with GGA-PBE; copper Kα).
Lines closer than 0.1° are merged.

The 8 most intense peaks (10 to 90 degrees two-theta), by angle:
two_theta, intensity
32.69, 689
33.89, 1000
41.91, 710
45.23, 322
47.64, 289
54.14, 321
60.77, 228
85.80, 253

Cell lengths 4.3110, 4.3110, 10.6437 Å; angles 90.00, 90.00, 90.00 degrees
Sites, in units of the cell vectors:
Sr: 0.0000 0.0000 0.0000
Sr: 0.5000 0.5000 0.5000
Zn: 0.0000 0.5000 0.2500
Zn: 0.5000 0.0000 0.7500
Cu: 0.0000 0.5000 0.7500
Cu: 0.5000 0.0000 0.2500
Ge: 0.0000 0.0000 0.3788
Ge: 0.0000 0.0000 0.6212
Ge: 0.5000 0.5000 0.1212
Ge: 0.5000 0.5000 0.8788

No. 3
Structure and calculated XRD peak list of Pr3ErSe6 (a crystal structure in Alexandria, relaxed with GGA-PBE; copper Kα).
Lines closer than 0.1° are merged.

The 8 most intense peaks (10 to 90 degrees two-theta), by angle:
two_theta, intensity
18.22, 449
20.60, 413
22.85, 706
25.20, 377
32.61, 709
33.07, 1000
38.62, 786
39.81, 334

Cell lengths 8.6276, 8.6276, 8.6276 Å; angles 91.28, 91.28, 91.28 degrees
Sites, in units of the cell vectors:
Pr: 0.0705 0.7478 0.5787
Pr: 0.2522 0.4213 0.9295
Pr: 0.4213 0.9295 0.2522
Pr: 0.5787 0.0705 0.7478
Pr: 0.7478 0.5787 0.0705
Pr: 0.9295 0.2522 0.4213
Er: 0.0000 0.0000 0.0000
Er: 0.5000 0.5000 0.5000
Se: 0.0408 0.6884 0.9131
Se: 0.0869 0.9592 0.3116
Se: 0.1918 0.4194 0.5845
Se: 0.3116 0.0869 0.9592
Se: 0.4155 0.8082 0.5806
Se: 0.4194 0.5845 0.1918
Se: 0.5806 0.4155 0.8082
Se: 0.5845 0.1918 0.4194
Se: 0.6884 0.9131 0.0408
Se: 0.8082 0.5806 0.4155
Se: 0.9131 0.0408 0.6884
Se: 0.9592 0.3116 0.0869

No. 4
Structure and calculated XRD peak list of Tb3Pr5 (a crystal structure in Alexandria, relaxed with GGA-PBE; copper Kα).
Lines closer than 0.1° are merged.

The 8 most intense peaks (10 to 90 degrees two-theta), by angle:
two_theta, intensity
29.94, 1000
34.63, 340
34.85, 167
49.79, 122
49.95, 241
59.19, 289
59.48, 143
62.21, 125

Cell lengths 5.1490, 5.1822, 10.3564 Å; angles 90.00, 90.00, 90.00 degrees
Sites, in units of the cell vectors:
Tb: 0.0000 0.0000 0.0000
Tb: 0.0000 0.5000 0.2477
Tb: 0.0000 0.5000 0.7523
Pr: 0.0000 0.0000 0.5000
Pr: 0.5000 0.0000 0.2474
Pr: 0.5000 0.0000 0.7526
Pr: 0.5000 0.5000 0.0000
Pr: 0.5000 0.5000 0.5000